(1)
For Ca11AlSb9, DFT lattice parameters and positions (GGA-PBE) gives the simulated X-ray powder pattern in this record (a wavelength of 1.5418 Å).

The 10 most intense peaks (2θ = 5–70°), by intensity:
2θ/deg  d_spacing  intensity
31.85  2.810  100
31.11  2.875  71
30.63  2.919  61
22.54  3.945  59
22.93  3.879  50
23.58  3.773  41
45.14  2.008  33
31.45  2.845  28
43.87  2.064  26
29.97  2.982  24

Structural model:
Cell: 12.0629 12.0629 12.0629 Å, 121.10 117.40 91.34°
Fractional coordinates of all 42 atoms:
Ca 0.0467 0.0334 0.3349
Ca 0.0578 0.6829 0.7407
Ca 0.1918 0.9276 0.6303
Ca 0.1939 0.1939 0.0000
Ca 0.1984 0.5334 0.9867
Ca 0.2584 0.4401 0.6349
Ca 0.2973 0.5615 0.3697
Ca 0.3052 0.9401 0.1817
Ca 0.4362 0.7849 0.7958
Ca 0.4422 0.1829 0.6250
Ca 0.4891 0.2849 0.3487
Ca 0.5467 0.2118 0.0133
Ca 0.5578 0.8171 0.3750
Ca 0.6918 0.0615 0.2642
Ca 0.6939 0.6939 0.0000
Ca 0.6984 0.7118 0.6651
Ca 0.7584 0.1235 0.8183
Ca 0.7973 0.4276 0.7358
Ca 0.8052 0.6235 0.3651
Ca 0.9362 0.1404 0.6513
Ca 0.9422 0.3171 0.2593
Ca 0.9891 0.6404 0.2042
Al 0.4764 0.4764 0.0000
Al 0.9764 0.9764 0.0000
Sb 0.0127 0.3675 0.9989
Sb 0.1210 0.6210 0.5000
Sb 0.1958 0.2038 0.2800
Sb 0.2554 0.2399 0.7555
Sb 0.2646 0.8389 0.3539
Sb 0.3686 0.0139 0.0011
Sb 0.4237 0.7038 0.0080
Sb 0.4844 0.4999 0.2445
Sb 0.4850 0.9107 0.6461
Sb 0.5127 0.5139 0.6453
Sb 0.6210 0.1210 0.5000
Sb 0.6958 0.4157 0.9920
Sb 0.7554 0.9999 0.0155
Sb 0.7646 0.4107 0.4256
Sb 0.8686 0.8675 0.3547
Sb 0.9237 0.9157 0.7200
Sb 0.9844 0.7399 0.9845
Sb 0.9850 0.3389 0.5744

=====

(2)
For Pm6SmTh2, DFT lattice parameters and positions (GGA-PBE) gives the simulated X-ray powder pattern in this record (a wavelength of 1.5418 Å).

The 10 most intense peaks (2θ = 5–70°), by intensity:
2θ/deg  d_spacing  intensity
33.03  2.712  100
31.46  2.844  72
29.67  3.011  56
28.49  3.133  49
59.63  1.550  47
50.45  1.809  41
41.60  2.171  34
55.84  1.647  31
61.63  1.505  23
30.19  2.960  22

Structural model:
Cell: 3.6177 3.6177 27.0948 Å, 90.00 90.00 120.00°
Fractional coordinates of all 9 atoms:
Pm 0.0000 0.0000 0.0633
Pm 0.0000 0.0000 0.2790
Pm 0.0000 0.0000 0.7210
Pm 0.0000 0.0000 0.9367
Pm 0.3333 0.6667 0.3905
Pm 0.3333 0.6667 0.6095
Sm 0.0000 0.0000 0.5000
Th 0.3333 0.6667 0.1698
Th 0.3333 0.6667 0.8302

=====

(3)
For Rb4C3, DFT lattice parameters and positions (GGA-PBE) gives the simulated X-ray powder pattern in this record (a wavelength of 1.5418 Å).

The 10 most intense peaks (2θ = 5–70°), by intensity:
2θ/deg  d_spacing  intensity
21.77  4.082  100
42.40  2.132  49
35.92  2.500  47
25.19  3.535  41
56.75  1.622  20
58.36  1.581  15
64.57  1.443  15
69.02  1.361  14
44.38  2.041  12
51.71  1.768  8

Structural model:
Cell: 7.0708 7.0708 7.0708 Å, 90.00 90.00 90.00°
Fractional coordinates of all 7 atoms:
Rb 0.2404 0.2404 0.2404
Rb 0.2404 0.7596 0.7596
Rb 0.7596 0.2404 0.7596
Rb 0.7596 0.7596 0.2404
C 0.0000 0.0000 0.5000
C 0.0000 0.5000 0.0000
C 0.5000 0.0000 0.0000

=====

(4)
For KTeAuN2, DFT lattice parameters and positions (GGA-PBE) gives the simulated X-ray powder pattern in this record (a wavelength of 1.5418 Å).

The 10 most intense peaks (2θ = 5–70°), by intensity:
2θ/deg  d_spacing  intensity
19.70  4.505  100
28.01  3.186  62
36.95  2.432  42
42.22  2.140  42
30.94  2.890  33
40.02  2.253  32
51.43  1.777  30
55.60  1.653  27
44.99  2.015  25
25.06  3.553  19

Structural model:
Cell: 4.5055 4.5055 5.7797 Å, 90.00 90.00 90.00°
Fractional coordinates of all 5 atoms:
K 0.0000 0.0000 0.0000
Te 0.5000 0.5000 0.0000
Au 0.5000 0.5000 0.5000
N 0.0000 0.5000 0.5000
N 0.5000 0.0000 0.5000

=====

(5)
For Ba3UAg2Te6, DFT lattice parameters and positions (GGA-PBE) gives the simulated X-ray powder pattern in this record (a wavelength of 1.5418 Å).

The 10 most intense peaks (2θ = 5–70°), by intensity:
2θ/deg  d_spacing  intensity
31.94  2.802  100
42.80  2.113  62
26.42  3.374  59
21.03  4.225  56
29.45  3.033  53
15.81  5.604  42
10.15  8.714  39
12.09  7.318  34
23.77  3.744  28
54.39  1.687  22

Structural model:
Cell: 8.4504 8.4504 8.7143 Å, 90.00 90.00 120.00°
Fractional coordinates of all 12 atoms:
Ba 0.0000 0.0000 0.0000
Ba 0.3333 0.6667 0.5814
Ba 0.6667 0.3333 0.4186
U 0.0000 0.0000 0.5000
Ag 0.3333 0.6667 0.1568
Ag 0.6667 0.3333 0.8432
Te 0.1639 0.3278 0.2906
Te 0.1639 0.8361 0.2906
Te 0.3278 0.1639 0.7094
Te 0.6722 0.8361 0.2906
Te 0.8361 0.1639 0.7094
Te 0.8361 0.6722 0.7094

=====

(6)
For Pu2TlCl11, DFT lattice parameters and positions (GGA-PBE) gives the simulated X-ray powder pattern in this record (a wavelength of 1.5418 Å).

The 10 most intense peaks (2θ = 5–70°), by intensity:
2θ/deg  d_spacing  intensity
17.38  5.101  100
16.44  5.392  61
19.38  4.581  43
33.59  2.668  37
34.84  2.575  26
33.23  2.696  23
12.87  6.877  23
25.31  3.520  18
22.83  3.896  16
22.96  3.873  15

Structural model:
Cell: 11.0788 11.0788 11.0788 Å, 112.95 112.38 103.26°
Fractional coordinates of all 28 atoms:
Pu 0.1571 0.1535 0.3106
Pu 0.3429 0.6535 0.9965
Pu 0.6571 0.3465 0.0035
Pu 0.8429 0.8465 0.6894
Tl 0.2500 0.7500 0.5000
Tl 0.7500 0.2500 0.5000
Cl 0.0000 0.0000 0.0000
Cl 0.0711 0.8704 0.6828
Cl 0.1125 0.4214 0.7919
Cl 0.1295 0.9214 0.3089
Cl 0.1876 0.3883 0.3172
Cl 0.1992 0.7927 0.9919
Cl 0.3008 0.2927 0.5935
Cl 0.3124 0.6296 0.2007
Cl 0.3705 0.6794 0.7919
Cl 0.3875 0.1794 0.3089
Cl 0.4289 0.1117 0.7993
Cl 0.5000 0.5000 0.0000
Cl 0.5711 0.8883 0.2007
Cl 0.6125 0.8206 0.6911
Cl 0.6295 0.3206 0.2081
Cl 0.6876 0.3704 0.7993
Cl 0.6992 0.7073 0.4065
Cl 0.8008 0.2073 0.0081
Cl 0.8124 0.6117 0.6828
Cl 0.8705 0.0786 0.6911
Cl 0.8875 0.5786 0.2081
Cl 0.9289 0.1296 0.3172

=====

(7)
For Sm3GaFeS7, DFT lattice parameters and positions (GGA-PBE) gives the simulated X-ray powder pattern in this record (a wavelength of 1.5418 Å).

The 10 most intense peaks (2θ = 5–70°), by intensity:
2θ/deg  d_spacing  intensity
25.40  3.507  100
36.59  2.456  38
35.85  2.505  35
48.99  1.859  34
34.79  2.578  31
40.43  2.231  23
17.71  5.009  23
27.75  3.215  22
51.38  1.778  19
40.93  2.205  18

Structural model:
Cell: 9.8225 9.8225 6.1980 Å, 90.00 90.00 120.00°
Fractional coordinates of all 24 atoms:
Sm 0.1535 0.3765 0.0000
Sm 0.2229 0.8465 0.0000
Sm 0.3765 0.2229 0.5000
Sm 0.6235 0.7771 0.0000
Sm 0.7771 0.1535 0.5000
Sm 0.8465 0.6235 0.5000
Ga 0.3333 0.6667 0.5762
Ga 0.6667 0.3333 0.0762
Fe 0.0000 0.0000 0.1789
Fe 0.0000 0.0000 0.6789
S 0.0900 0.5702 0.7296
S 0.0989 0.2333 0.4142
S 0.1344 0.9011 0.4142
S 0.2333 0.1344 0.9142
S 0.3333 0.6667 0.2112
S 0.4298 0.5198 0.7296
S 0.4802 0.9100 0.7296
S 0.5198 0.0900 0.2296
S 0.5702 0.4802 0.2296
S 0.6667 0.3333 0.7112
S 0.7667 0.8656 0.4142
S 0.8656 0.0989 0.9142
S 0.9011 0.7667 0.9142
S 0.9100 0.4298 0.2296

=====

(8)
For Na8B11C5, DFT lattice parameters and positions (GGA-PBE) gives the simulated X-ray powder pattern in this record (a wavelength of 1.5418 Å).

The 9 most intense peaks (2θ = 5–70°), by intensity:
2θ/deg  d_spacing  intensity
41.83  2.159  100
42.26  2.139  25
35.90  2.502  18
64.52  1.444  17
56.62  1.626  10
68.61  1.368  1
20.77  4.277  1
10.34  8.555  1
68.51  1.370  1

Structural model:
Cell: 5.7825 8.5549 4.9989 Å, 90.00 90.00 90.00°
Fractional coordinates of all 24 atoms:
Na 0.0000 0.2469 0.0000
Na 0.0000 0.7531 0.0000
Na 0.2497 0.2465 0.4989
Na 0.2497 0.7535 0.4989
Na 0.5000 0.2471 0.9976
Na 0.5000 0.7529 0.9976
Na 0.7503 0.2465 0.4989
Na 0.7503 0.7535 0.4989
B 0.0000 0.0000 0.6654
B 0.0000 0.5000 0.3357
B 0.0000 0.5000 0.6798
B 0.2498 0.0000 0.1654
B 0.2499 0.5000 0.1599
B 0.2641 0.5000 0.8184
B 0.5000 0.0000 0.6654
B 0.5000 0.5000 0.3501
B 0.7359 0.5000 0.8184
B 0.7502 0.0000 0.1654
B 0.7501 0.5000 0.1599
C 0.0000 0.0000 0.3320
C 0.2499 0.0000 0.8320
C 0.5000 0.0000 0.3319
C 0.5000 0.5000 0.6635
C 0.7501 0.0000 0.8320

=====

> What is the formula in the first record?

Ca11AlSb9